# SrLa2Fe3O9
Calculated X-ray diffraction stick pattern, Cu Ka. Input: the GGA+U geometry in the Materials Project.
Peak positions follow from Bragg's law for the DFT cell and can differ from measured ones.

Peak list (10 most intense, 2θ = 10–90°, by angle)
(4 0 -2), 31.9 deg, rel. 23; (4 1 1), 32.1 deg, rel. 100; (0 2 0), 32.2 deg, rel. 24; (2 2 2), 39.7 deg, rel. 12; (4 2 -2), 46.0 deg, rel. 32; (4 0 4), 46.1 deg, rel. 15; (4 1 -5), 56.9 deg, rel. 11; (8 1 -1), 57.0 deg, rel. 11; (4 2 4), 57.4 deg, rel. 30; (8 2 2), 67.1 deg, rel. 17

```
data_SrLa2Fe3O9
_cell_length_a 13.710
_cell_length_b 5.557
_cell_length_c 9.674
_cell_angle_alpha 90.00
_cell_angle_beta 90.44
_cell_angle_gamma 90.00
_symmetry_space_group_name_H-M 'P 1 21/c 1'
_symmetry_Int_Tables_number 14
loop_
_symmetry_equiv_pos_as_xyz
'x,y,z'
'-x,-y,-z'
'-x,y+1/2,-z+1/2'
'x,-y+1/2,z+1/2'
loop_
_atom_site_label
_atom_site_type_symbol
_atom_site_fract_x
_atom_site_fract_y
_atom_site_fract_z
_atom_site_occupancy
Sr1 Sr 0.249 0.006 0.498 1
La1 La 0.085 0.504 0.663 1
La2 La 0.419 0.000 0.830 1
Fe1 Fe 0.000 0.000 0.500 1
Fe2 Fe 0.168 0.000 0.833 1
Fe3 Fe 0.331 0.000 0.166 1
Fe4 Fe 0.500 0.000 0.500 1
O1 O 0.057 0.005 0.693 1
O2 O 0.089 0.236 0.945 1
O3 O 0.096 0.748 0.941 1
O4 O 0.233 0.238 0.229 1
O5 O 0.238 0.746 0.223 1
O6 O 0.276 0.005 0.974 1
O7 O 0.399 0.004 0.352 1
O8 O 0.428 0.243 0.613 1
O9 O 0.433 0.738 0.606 1
```

# Ni3Se4Cl2O10
Calculated X-ray diffraction stick pattern, Cu Ka. Input: the GGA+U geometry in the Materials Project.
Peak positions follow from Bragg's law for the DFT cell and can differ from measured ones.

Peak list (10 most intense, 2θ = 10–90°, by angle)
(1 1 0), 13.9 deg, rel. 23; (1 3 0), 22.7 deg, rel. 16; (2 0 -1), 25.2 deg, rel. 50; (2 2 -1), 28.3 deg, rel. 18; (1 3 1), 30.0 deg, rel. 100; (2 0 -2), 34.3 deg, rel. 20; (2 4 -1), 36.1 deg, rel. 19; (1 3 -2), 36.3 deg, rel. 16; (0 6 0), 38.4 deg, rel. 19; (3 3 0), 42.6 deg, rel. 20

```
data_Ni3Se4Cl2O10
_cell_length_a 7.488
_cell_length_b 14.053
_cell_length_c 5.846
_cell_angle_alpha 90.00
_cell_angle_beta 107.66
_cell_angle_gamma 90.00
_symmetry_space_group_name_H-M 'C 1 2/m 1'
_symmetry_Int_Tables_number 12
loop_
_symmetry_equiv_pos_as_xyz
'x,y,z'
'-x,-y,-z'
'-x,y,-z'
'x,-y,z'
'x+1/2,y+1/2,z'
'-x+1/2,-y+1/2,-z'
'-x+1/2,y+1/2,-z'
'x+1/2,-y+1/2,z'
loop_
_atom_site_label
_atom_site_type_symbol
_atom_site_fract_x
_atom_site_fract_y
_atom_site_fract_z
_atom_site_occupancy
Ni1 Ni 0.000 0.000 0.000 1
Ni2 Ni 0.000 0.128 0.500 1
Se1 Se 0.157 0.338 0.777 1
Cl1 Cl 0.199 0.000 0.747 1
O1 O 0.000 0.389 0.500 1
O2 O 0.139 0.110 0.238 1
O3 O 0.186 0.223 0.712 1
```

# LiMnF4
Calculated X-ray diffraction stick pattern, Cu Ka. Input: the GGA+U geometry in the Materials Project.
Peak positions follow from Bragg's law for the DFT cell and can differ from measured ones.

Peak list (10 most intense, 2θ = 10–90°, by angle)
(0 0 1), 16.3 deg, rel. 100; (1 1 1), 24.3 deg, rel. 74; (1 1 0), 28.0 deg, rel. 20; (-1 1 1), 28.2 deg, rel. 18; (1 -1 1), 30.6 deg, rel. 12; (1 1 2), 30.7 deg, rel. 12; (2 0 0), 37.5 deg, rel. 26; (1 -2 0), 39.6 deg, rel. 23; (1 1 3), 43.2 deg, rel. 11; (1 3 0), 63.8 deg, rel. 12

```
data_LiMnF4
_cell_length_a 5.076
_cell_length_b 5.328
_cell_length_c 6.330
_cell_angle_alpha 65.50
_cell_angle_beta 72.81
_cell_angle_gamma 89.85
_symmetry_space_group_name_H-M 'P -1'
_symmetry_Int_Tables_number 2
loop_
_symmetry_equiv_pos_as_xyz
'x,y,z'
'-x,-y,-z'
loop_
_atom_site_label
_atom_site_type_symbol
_atom_site_fract_x
_atom_site_fract_y
_atom_site_fract_z
_atom_site_occupancy
Li1 Li 0.243 0.137 0.006 1
Mn1 Mn 0.000 0.500 0.500 1
Mn2 Mn 0.500 0.000 0.500 1
F1 F 0.004 0.227 0.801 1
F2 F 0.143 0.788 0.643 1
F3 F 0.353 0.425 0.361 1
F4 F 0.498 0.023 0.197 1
```